Entry 1:
Calculated XRD peak list
Compound: Na3AlSiGeP2O12
Radiation: λ = 1.5418 Å (Cu Kα)
Structure: DFT lattice parameters and positions (PBE)
Peak positions follow from Bragg's law for the DFT cell and can differ from measured ones.

Structure:
a b c (Å): 8.641 8.641 8.763
angles (deg): 119.90 119.90 60.32
Element x y z (fractional)
Na  0.064  0.936  0.500
Na  0.200  0.432  0.983
Na  0.337  0.790  0.221
Na  0.432  0.200  0.483
Na  0.790  0.337  0.721
Na  0.936  0.064  0.000
Al  0.176  0.660  0.790
Al  0.660  0.176  0.290
Si  0.351  0.564  0.476
Si  0.564  0.351  0.976
Ge  0.468  0.951  0.666
Ge  0.951  0.468  0.166
P  0.058  0.279  0.482
P  0.279  0.058  0.982
P  0.774  0.847  0.480
P  0.847  0.774  0.980
O  0.030  0.751  0.966
O  0.035  0.305  0.306
O  0.092  0.234  0.989
O  0.092  0.445  0.661
O  0.162  0.541  0.281
O  0.234  0.092  0.489
O  0.236  0.892  0.960
O  0.300  0.596  0.644
O  0.305  0.035  0.806
O  0.368  0.756  0.493
O  0.379  0.538  0.957
O  0.445  0.092  0.161
O  0.538  0.379  0.457
O  0.541  0.162  0.781
O  0.581  0.874  0.482
O  0.596  0.300  0.144
O  0.676  0.798  0.800
O  0.751  0.030  0.466
O  0.756  0.368  0.993
O  0.798  0.676  0.300
O  0.818  0.940  0.157
O  0.874  0.581  0.982
O  0.892  0.236  0.460
O  0.940  0.818  0.657

Peak list (12 most intense, 2θ from 5° to 70°, in order of rising 2θ)
2θ (°)  I/Imax
14.36  46
20.40  79
20.56  33
23.98  70
24.15  32
28.95  37
31.91  32
32.37  100
32.62  62
35.89  47
36.07  26
49.08  40

=====

Entry 2:
Calculated XRD peak list
Compound: RbNa2Al3Ge3O13
Radiation: λ = 1.5418 Å (Cu Kα)
Structure: DFT lattice parameters and positions (PBE)
Peak positions follow from Bragg's law for the DFT cell and can differ from measured ones.

Structure:
a b c (Å): 5.326 8.358 16.721
angles (deg): 90.00 108.57 90.00
Element x y z (fractional)
Rb  0.000  0.064  0.000
Rb  0.000  0.936  0.500
Na  0.207  0.328  0.248
Na  0.207  0.672  0.748
Na  0.706  0.323  0.747
Na  0.706  0.677  0.247
Al  0.173  0.104  0.748
Al  0.173  0.896  0.248
Al  0.525  0.395  0.103
Al  0.525  0.605  0.603
Al  0.812  0.393  0.391
Al  0.812  0.607  0.891
Ge  0.024  0.388  0.604
Ge  0.024  0.612  0.104
Ge  0.311  0.389  0.891
Ge  0.311  0.611  0.391
Ge  0.671  0.109  0.247
Ge  0.671  0.891  0.747
O  0.080  0.453  0.357
O  0.080  0.547  0.857
O  0.163  0.215  0.837
O  0.163  0.785  0.337
O  0.359  0.446  0.636
O  0.359  0.554  0.136
O  0.384  0.343  0.997
O  0.384  0.657  0.497
O  0.484  0.221  0.159
O  0.484  0.779  0.659
O  0.496  0.066  0.495
O  0.496  0.934  0.995
O  0.500  0.071  0.748
O  0.500  0.929  0.248
O  0.585  0.445  0.860
O  0.585  0.555  0.360
O  0.663  0.221  0.335
O  0.663  0.779  0.835
O  0.861  0.452  0.137
O  0.861  0.548  0.637
O  0.886  0.344  0.498
O  0.886  0.656  0.998
O  0.988  0.215  0.659
O  0.988  0.785  0.159
O  0.998  0.077  0.247
O  0.998  0.923  0.747

Peak list (12 most intense, 2θ from 5° to 70°, in order of rising 2θ)
2θ (°)  I/Imax
19.77  51
20.55  25
23.72  20
24.87  100
27.14  16
29.41  81
30.08  20
33.65  27
35.49  26
45.80  16
50.61  22
65.36  17